Structure and calculated powder XRD pattern of CoNi7Ir2 (a GGA-PBE-relaxed structure; λ = 1.5418 Å (Cu Kα)).
Lines closer than 0.1° are merged.

Atomic structure:
Lattice parameters (Å, degrees): 6.9312 6.9312 3.7660 90.00 90.00 125.02
Atoms (fractional coordinates):
Co (0.0000, 0.0000, 0.0000)
Ni (0.0847, 0.2816, 0.5000)
Ni (0.1887, 0.8113, 0.0000)
Ni (0.2816, 0.0847, 0.5000)
Ni (0.5000, 0.5000, 0.5000)
Ni (0.7184, 0.9153, 0.5000)
Ni (0.8113, 0.1887, 0.0000)
Ni (0.9153, 0.7184, 0.5000)
Ir (0.2990, 0.7010, 0.5000)
Ir (0.7010, 0.2990, 0.5000)

Largest 8 diffraction maxima, in order of rising 2θ, 2θ from 10° to 90°:
6.148 Å, I = 29; 3.766 Å, I = 74; 3.200 Å, I = 40; 3.138 Å, I = 30; 2.838 Å, I = 30; 1.960 Å, I = 100; 1.883 Å, I = 33; 1.835 Å, I = 36